No. 1
Diffraction record for Mo7Pb. The powder diffractogram is calculated, not measured: it uses a crystal structure in Alexandria, relaxed with PBE and a wavelength of 1.5418 Å.

```
Mo7Pb
1.0
0.0000 4.0611 4.0611
4.0611 0.0000 4.0611
4.0611 4.0611 0.0000
Mo Pb
7 1
Cartesian
0.0000 0.0000 0.0000
2.0305 2.0305 0.0000
2.0305 0.0000 2.0305
4.0611 2.0305 2.0305
0.0000 2.0305 2.0305
2.0305 4.0611 2.0305
2.0305 2.0305 4.0611
4.0611 4.0611 4.0611
```

Largest 10 diffraction maxima, in order of rising 2θ, 10° ≤ 2θ ≤ 90°:
- 18.92 deg, I 8
- 21.89 deg, I 4
- 31.15 deg, I 4
- 36.70 deg, I 5
- 38.39 deg, I 100
- 44.63 deg, I 48
- 48.88 deg, I 2
- 64.95 deg, I 31
- 78.04 deg, I 37
- 82.23 deg, I 11

=====

No. 2
Diffraction record for Be2AgAu. The powder diffractogram is calculated, not measured: it uses a crystal structure in Alexandria, relaxed with PBE and a wavelength of 1.5418 Å.

```
Be2AgAu
1.0
8.8781 0.0000 0.0000
0.0000 2.8760 0.0000
-1.2353 0.0000 4.0956
Be Ag Au
4 2 2
Cartesian
0.0000 0.0000 0.0000
1.5702 1.4380 1.2499
4.4391 1.4380 0.0000
6.0093 0.0000 1.2499
1.1482 0.0000 3.3907
5.5873 1.4380 3.3907
3.5606 0.0000 1.8741
7.9997 1.4380 1.8741
```

Largest 10 diffraction maxima, in order of rising 2θ, 10° ≤ 2θ ≤ 90°:
- 20.90 deg, I 25
- 21.70 deg, I 45
- 25.48 deg, I 100
- 32.88 deg, I 95
- 34.52 deg, I 65
- 41.47 deg, I 76
- 42.54 deg, I 38
- 43.15 deg, I 30
- 45.85 deg, I 68
- 53.43 deg, I 38